This entry pairs a crystal structure of Ac2HoAl3Ga12 with its simulated powder X-ray diffraction pattern. Radiation: Cu Kα. Structure: DFT lattice parameters and positions (PBE).

Structure:
```
data_Ac2HoAl3Ga12
_cell_length_a 6.8308
_cell_length_b 6.8308
_cell_length_c 30.4153
_cell_angle_alpha 90.00
_cell_angle_beta 90.00
_cell_angle_gamma 120.00
_space_group_name_H-M_alt 'R -3 m'
_space_group_IT_number 166
_space_group_name_Hall '-R 3 2"'
loop_
_atom_site_label
_atom_site_fract_x
_atom_site_fract_y
_atom_site_fract_z
_atom_site_occupancy
Ac1 0.0000 0.0000 0.1374 1
Ho1 0.0000 0.0000 0.5000 1
Al1 0.0000 0.5000 0.0000 1
Ga1 0.0434 0.5217 0.8994 1
Ga2 0.0646 0.5323 0.6225 1
```

Top 10 peaks for 2θ from 5° to 70°, by intensity:
| 2θ/deg | d [Å] | I/Imax | (hkl) |
| --- | --- | --- | --- |
| 27.6 | 3.237 | 100 | 1 1 3 |
| 32.5 | 2.757 | 74 | 0 2 4 |
| 38.6 | 2.335 | 73 | 2 0 8 |
| 35.8 | 2.505 | 70 | 0 1 11 |
| 8.7 | 10.138 | 51 | 0 0 3 |
| 46.9 | 1.936 | 41 | 0 3 3 |
| 31.6 | 2.832 | 39 | 1 1 6 |
| 53.7 | 1.708 | 37 | 2 2 0 |
| 45.6 | 1.988 | 32 | 2 1 7 |
| 59.3 | 1.558 | 31 | 1 2 14 |

***

This entry pairs a crystal structure of Li2AcAl2Ga2 with its simulated powder X-ray diffraction pattern. Radiation: Cu Kα. Structure: DFT lattice parameters and positions (PBE).

Structure:
```
data_Li2AcAl2Ga2
_cell_length_a 7.681
_cell_length_b 4.424
_cell_length_c 8.751
_cell_angle_alpha 90.00
_cell_angle_beta 106.85
_cell_angle_gamma 90.00
_space_group_name_H-M_alt 'C 1 2/m 1'
_space_group_IT_number 12
_space_group_name_Hall '-C 2y'
loop_
_atom_site_label
_atom_site_fract_x
_atom_site_fract_y
_atom_site_fract_z
_atom_site_occupancy
Li1 0.144 0.000 0.435 1
Ac1 0.000 0.000 0.000 1
Al1 0.061 0.500 0.681 1
Ga1 0.247 0.500 0.243 1
```

Top 10 peaks for 2θ from 5° to 70°, by intensity:
| 2θ/deg | d [Å] | I/Imax | (hkl) |
| --- | --- | --- | --- |
| 27.2 | 3.274 | 100 | 2 0 -2 |
| 10.6 | 8.376 | 77 | 0 0 1 |
| 40.7 | 2.215 | 49 | 0 2 0 |
| 34.2 | 2.621 | 37 | 1 1 2 |
| 23.5 | 3.792 | 32 | 2 0 -1 |
| 29.3 | 3.049 | 32 | 1 1 -2 |
| 37.0 | 2.428 | 23 | 1 1 -3 |
| 60.9 | 1.520 | 14 | 0 2 4 |
| 49.8 | 1.832 | 13 | 2 2 -2 |
| 42.2 | 2.142 | 12 | 3 1 0 |

***

This entry pairs a crystal structure of Ac2AlGaNi6 with its simulated powder X-ray diffraction pattern. Radiation: Cu Kα. Structure: DFT lattice parameters and positions (PBE).

Structure:
```
data_Ac2AlGaNi6
_cell_length_a 5.152
_cell_length_b 6.447
_cell_length_c 6.471
_cell_angle_alpha 77.94
_cell_angle_beta 66.60
_cell_angle_gamma 66.53
_space_group_name_H-M_alt 'P -1'
_space_group_IT_number 2
_space_group_name_Hall '-P 1'
loop_
_atom_site_label
_atom_site_fract_x
_atom_site_fract_y
_atom_site_fract_z
_atom_site_occupancy
Ac1 0.248 0.302 0.201 1
Al1 0.000 0.000 0.000 1
Ga1 0.500 0.500 0.500 1
Ni1 0.222 0.779 0.277 1
Ni2 0.249 0.912 0.590 1
Ni3 0.280 0.220 0.723 1
```

Top 10 peaks for 2θ from 5° to 70°, by intensity:
| 2θ/deg | d [Å] | I/Imax | (hkl) |
| --- | --- | --- | --- |
| 29.1 | 3.066 | 100 | 1 1 2 |
| 29.9 | 2.993 | 90 | 1 1 -1 |
| 40.8 | 2.212 | 69 | 2 2 2 |
| 41.5 | 2.175 | 55 | 2 2 0 |
| 41.9 | 2.158 | 47 | 0 2 2 |
| 20.4 | 4.351 | 46 | 1 0 1 |
| 29.2 | 3.058 | 33 | 1 2 1 |
| 34.7 | 2.583 | 33 | 0 2 -1 |
| 30.2 | 2.964 | 31 | 0 0 2 |
| 30.3 | 2.951 | 28 | 0 2 0 |

***

This entry pairs a crystal structure of Ac2Al4GaPd3 with its simulated powder X-ray diffraction pattern. Radiation: Cu Kα. Structure: DFT lattice parameters and positions (PBE).

Structure:
```
data_Ac2Al4GaPd3
_cell_length_a 4.476
_cell_length_b 4.476
_cell_length_c 10.523
_cell_angle_alpha 90.00
_cell_angle_beta 90.00
_cell_angle_gamma 90.00
_space_group_name_H-M_alt 'P -4 m 2'
_space_group_IT_number 115
_space_group_name_Hall 'P -4 -2'
loop_
_atom_site_label
_atom_site_fract_x
_atom_site_fract_y
_atom_site_fract_z
_atom_site_occupancy
Ac1 0.000 0.500 0.248 1
Al1 0.000 0.000 0.500 1
Al2 0.000 0.500 0.868 1
Al3 0.500 0.500 0.500 1
Ga1 0.500 0.500 0.000 1
Pd1 0.000 0.000 0.000 1
Pd2 0.000 0.500 0.624 1
```

Top 10 peaks for 2θ from 5° to 70°, by intensity:
| 2θ/deg | d [Å] | I/Imax | (hkl) |
| --- | --- | --- | --- |
| 33.0 | 2.712 | 100 | 1 1 2 |
| 32.4 | 2.761 | 90 | 1 0 3 |
| 40.3 | 2.238 | 56 | 2 0 0 |
| 52.6 | 1.738 | 47 | 2 1 3 |
| 21.6 | 4.119 | 37 | 1 0 1 |
| 28.2 | 3.165 | 37 | 1 1 0 |
| 47.8 | 1.905 | 32 | 1 0 5 |
| 64.2 | 1.450 | 26 | 2 1 5 |
| 68.7 | 1.367 | 24 | 3 1 2 |
| 60.3 | 1.534 | 20 | 1 1 6 |